Record 1
This entry pairs a crystal structure of Zr4CuNi with its simulated XRD peak list. Radiation: Cu Kα X-rays. Structure: a DFT-relaxed cell (PBE, the Materials Project).
Lines closer than 0.1° are merged.

Most intense lines, 15 to 90 degrees two-theta, by angle:
2θ = 34.98°, I = 100.0
2θ = 38.64°, I = 10.0
2θ = 39.65°, I = 24.9
2θ = 43.42°, I = 36.5
2θ = 44.34°, I = 27.9
2θ = 60.60°, I = 15.0
2θ = 62.05°, I = 18.0
2θ = 67.24°, I = 11.2
2θ = 70.61°, I = 18.6
2θ = 80.65°, I = 10.2

Crystal structure
```
data_Zr4CuNi
_chemical_formula_sum 'Zr8 Cu2 Ni2'
_cell_length_a 6.5902
_cell_length_b 6.5902
_cell_length_c 5.2077
_cell_angle_alpha 90.00
_cell_angle_beta 90.00
_cell_angle_gamma 90.00
_space_group_name_H-M_alt 'I 4 2 2'
_space_group_IT_number 97
_space_group_name_Hall 'I 4 2'
loop_
_atom_site_label
_atom_site_fract_x
_atom_site_fract_y
_atom_site_fract_z
_atom_site_occupancy
Zr1 0.1612 0.3388 0.2500 1
Cu1 0.0000 0.0000 0.5000 1
Ni1 0.0000 0.0000 0.0000 1
```

=====

Record 2
This entry pairs a crystal structure of MgSi with its simulated XRD peak list. Radiation: Cu Kα X-rays. Structure: a DFT-relaxed cell (PBE, the Materials Project).
Lines closer than 0.1° are merged.

Most intense lines, 15 to 90 degrees two-theta, by angle:
2θ = 32.48°, I = 33.7
2θ = 33.14°, I = 100.0
2θ = 34.33°, I = 50.2
2θ = 35.84°, I = 28.3
2θ = 36.19°, I = 65.0
2θ = 36.95°, I = 39.9
2θ = 38.38°, I = 26.5
2θ = 41.20°, I = 29.1
2θ = 43.23°, I = 44.6
2θ = 46.50°, I = 57.4

Crystal structure
```
data_MgSi
_chemical_formula_sum 'Mg12 Si12'
_cell_length_a 11.7274
_cell_length_b 3.9059
_cell_length_c 9.9753
_cell_angle_alpha 90.00
_cell_angle_beta 95.38
_cell_angle_gamma 90.00
_space_group_name_H-M_alt 'C 1 m 1'
_space_group_IT_number 8
_space_group_name_Hall 'C -2y'
loop_
_atom_site_label
_atom_site_fract_x
_atom_site_fract_y
_atom_site_fract_z
_atom_site_occupancy
Mg1 0.0000 0.0000 0.0000 1
Mg2 0.0121 0.5000 0.7184 1
Mg3 0.1207 0.0000 0.5108 1
Mg4 0.2108 0.5000 0.9746 1
Mg5 0.3029 0.5000 0.6824 1
Mg6 0.3226 0.0000 0.1885 1
Si1 0.0000 0.0000 0.2744 1
Si2 0.1209 0.5000 0.2138 1
Si3 0.1590 0.0000 0.7893 1
Si4 0.2636 0.5000 0.4093 1
Si5 0.3532 0.0000 0.8994 1
Si6 0.3899 0.0000 0.4642 1
```